[1]
Theoretical XRD peak list of NpSnBiAu for Cu Kα, from a PBE-relaxed structure.

The 8 most intense peaks (2θ from 5° to 70°), sorted by position:
index	2θ (°)	I (rel.)
1 1 1	33.70	100
0 0 2	36.71	20
0 2 0	38.39	18
2 0 0	42.06	14
0 2 2	54.16	13
2 0 2	57.03	11
1 1 3	64.19	16
1 3 1	66.45	15

Crystal structure
Lattice parameters (Å, degrees): 4.2970 4.6893 4.8965 90.00 90.00 90.00
Space group Pmmm (No. 47)
Symmetry-distinct sites (fractional):
Np (0.0000, 0.0000, 0.0000)
Sn (0.5000, 0.0000, 0.5000)
Bi (0.5000, 0.5000, 0.0000)
Au (0.0000, 0.5000, 0.5000)


[2]
Theoretical XRD peak list of Bi4Au3O12 for Cu Kα, from a PBE-relaxed structure.

The 8 most intense peaks (2θ from 5° to 70°), sorted by position:
index	2θ (°)	I (rel.)
1 1 0	14.94	13
2 0 0	21.19	4
2 1 1	26.03	7
2 2 0	30.14	100
3 2 1	40.24	3
4 0 0	43.15	21
4 2 2	53.53	48
4 4 0	62.66	13

Crystal structure
Lattice parameters (Å, degrees): 8.3865 8.3865 8.3865 90.00 90.00 90.00
Space group Im-3 (No. 204)
Symmetry-distinct sites (fractional):
Bi (0.2500, 0.2500, 0.2500)
Au (0.0000, 0.0000, 0.5000)
O (0.0000, 0.3270, 0.1694)


[3]
Theoretical XRD peak list of BiAuO for Cu Kα, from a PBE-relaxed structure.

The 8 most intense peaks (2θ from 5° to 70°), sorted by position:
index	2θ (°)	I (rel.)
0 0 1	13.19	38
2 0 0	20.00	48
1 1 0	23.12	98
2 0 -2	24.15	61
1 1 -2	31.44	78
2 0 -3	34.98	45
3 1 0	36.95	100
0 2 0	42.34	38

Crystal structure
Lattice parameters (Å, degrees): 10.1813 4.2691 7.6962 90.00 119.28 90.00
Space group C2/m (No. 12)
Symmetry-distinct sites (fractional):
Bi (0.1563, 0.0000, 0.2831)
Au (0.1608, 0.0000, 0.8989)
O (0.2495, 0.0000, 0.6272)


[4]
Theoretical XRD peak list of BiPdAuO5 for Cu Kα, from a PBE-relaxed structure.

The 8 most intense peaks (2θ from 5° to 70°), sorted by position:
index	2θ (°)	I (rel.)
0 0 2	25.09	16
1 1 -2	25.52	37
0 2 2	31.03	36
2 0 0	31.41	100
1 3 -2	36.41	22
2 2 -2	36.73	16
2 0 -4	48.83	16
3 3 0	55.91	19

Crystal structure
Lattice parameters (Å, degrees): 6.1773 9.8723 7.7011 90.00 112.81 90.00
Space group C2/c (No. 15)
Symmetry-distinct sites (fractional):
Bi (0.0000, 0.1948, 0.2500)
Pd (0.0000, 0.5000, 0.0000)
Au (0.0000, 0.1631, 0.7500)
O (0.0000, 0.4266, 0.2500)
O (0.0494, 0.2973, 0.5580)
O (0.1496, 0.0155, 0.9410)


[5]
Theoretical XRD peak list of Rb8BiAu2O for Cu Kα, from a PBE-relaxed structure.

The 8 most intense peaks (2θ from 5° to 70°), sorted by position:
index	2θ (°)	I (rel.)
1 0 -1	15.99	47
1 0 1	19.36	37
0 2 1	19.69	58
2 0 0	28.06	47
1 2 -2	28.92	100
1 3 1	31.46	24
2 2 -1	32.66	21
0 4 0	32.92	76

Crystal structure
Lattice parameters (Å, degrees): 6.4821 10.8744 8.2238 90.00 101.12 90.00
Space group P2/m (No. 10)
Symmetry-distinct sites (fractional):
Rb (0.0309, 0.0000, 0.2564)
Rb (0.1157, 0.5000, 0.8011)
Rb (0.4501, 0.2926, 0.2249)
Bi (0.5000, 0.0000, 0.0000)
Au (0.0000, 0.2752, 0.5000)
O (0.5000, 0.5000, 0.0000)


[6]
Theoretical XRD peak list of SmBi2AuO4 for Cu Kα, from a PBE-relaxed structure.

The 8 most intense peaks (2θ from 5° to 70°), sorted by position:
index	2θ (°)	I (rel.)
1 0 2	29.90	100
1 1 0	32.15	37
1 0 3	37.22	7
0 0 4	39.27	8
2 0 0	46.11	20
1 1 4	51.63	20
2 1 2	55.93	35
2 0 4	62.13	9

Crystal structure
Lattice parameters (Å, degrees): 3.9373 3.9373 9.1764 90.00 90.00 90.00
Space group P4/mmm (No. 123)
Symmetry-distinct sites (fractional):
Sm (0.0000, 0.0000, 0.0000)
Bi (0.5000, 0.5000, 0.2794)
Au (0.0000, 0.0000, 0.5000)
O (0.0000, 0.5000, 0.1569)


[7]
Theoretical XRD peak list of Sr2BiAuO6 for Cu Kα, from a PBE-relaxed structure.

The 8 most intense peaks (2θ from 5° to 70°), sorted by position:
index	2θ (°)	I (rel.)
2 0 0	16.60	32
1 1 -1	23.15	35
1 1 1	27.96	96
3 1 -1	29.27	100
0 2 0	31.59	37
4 0 0	33.56	31
4 2 0	46.76	30
2 2 -2	47.31	33

Crystal structure
Lattice parameters (Å, degrees): 11.6093 5.6638 5.2410 90.00 113.08 90.00
Space group C2/m (No. 12)
Symmetry-distinct sites (fractional):
Sr (0.2415, 0.0000, 0.2106)
Bi (0.0000, 0.5000, 0.0000)
Au (0.0000, 0.0000, 0.5000)
O (0.0803, 0.2392, 0.8047)
O (0.1862, 0.5000, 0.2816)


[8]
Theoretical XRD peak list of BiP2AuS for Cu Kα, from a PBE-relaxed structure.

The 8 most intense peaks (2θ from 5° to 70°), sorted by position:
index	2θ (°)	I (rel.)
1 0 -1	22.68	74
0 0 2	24.77	88
1 0 1	25.25	41
0 1 1	26.24	72
1 1 0	31.07	100
1 1 -2	38.49	43
1 1 2	41.73	64
2 1 -1	48.58	27

Crystal structure
Lattice parameters (Å, degrees): 4.3605 3.8535 7.2394 90.00 96.86 90.00
Space group Pm (No. 6)
Symmetry-distinct sites (fractional):
Bi (0.0000, 0.0000, 0.0000)
P (0.2046, 0.0000, 0.4166)
P (0.8519, 0.0000, 0.6017)
Au (0.5260, 0.5000, 0.5137)
S (0.4124, 0.5000, 0.9714)